Computed powder X-ray diffraction pattern
Compound: NaTaVO4
Radiation: Cu Kα (weighted mean of Kα1 and Kα2)
Structure: a crystal structure in Alexandria, relaxed with PBE+U
Neutral-atom scattering factors, no anomalous dispersion.

The 12 most intense peaks (10° ≤ 2θ ≤ 90°), in order of rising 2θ:
2theta, d (Å), intensity
13.14, 6.740, 100
17.04, 5.204, 29
20.31, 4.373, 89
23.01, 3.866, 69
25.24, 3.528, 31
25.39, 3.508, 25
29.84, 2.994, 21
30.76, 2.907, 36
31.12, 2.874, 41
35.38, 2.537, 22
37.96, 2.370, 36
40.16, 2.246, 26

Structure:
```
14
Lattice="5.6546 0.0000 0.0000 0.0000 5.7482 0.0000 -2.7876 0.0000 6.7395" Properties=species:S:1:pos:R:3 pbc="T T T"
Na 0.4381 1.4370 1.0236
Na 2.4289 4.3111 5.7159
Ta -0.4048 1.4370 4.5298
Ta 3.2718 4.3111 2.2097
V 0.3875 4.3111 3.1297
V 2.4795 1.4370 3.6098
O -1.1133 1.4370 2.8084
O -2.0200 1.4370 5.5144
O 0.8366 0.0215 4.6572
O 0.8366 2.8526 4.6572
O 2.0304 2.8956 2.0824
O 2.0304 5.7267 2.0824
O 4.8870 4.3111 1.2251
O 3.9803 4.3111 3.9311
```